CuI2O6: computed XRD peak list (Cu Kα X-rays), based on the PBE geometry in the Materials Project.

The 10 most intense peaks (10° ≤ 2θ ≤ 90°), in order of falling intensity:
index  two_theta  I_rel
1 1 -1  24.3  100
1 1 1  25.9  98
0 1 2  25.6  82
1 0 -3  31.3  38
2 0 0  31.9  34
2 2 0  47.3  31
2 1 -2  39.3  30
1 0 3  34.9  29
1 2 -3  46.9  27
1 2 3  49.5  25

Atomic structure:
```
data_CuI2O6
_chemical_formula_sum 'Cu2 I4 O12'
_symmetry_space_group_name_H-M 'P 1 21 1'
_symmetry_Int_Tables_number 4
_symmetry_space_group_name_Hall 'P 2yb'
_cell_length_a 5.6489
_cell_length_b 5.2746
_cell_length_c 9.3284
_cell_angle_alpha 90.00
_cell_angle_beta 97.30
_cell_angle_gamma 90.00
loop_
_atom_site_label
_atom_site_fract_x
_atom_site_fract_y
_atom_site_fract_z
Cu1 0.2194 0.0000 0.2460
I1 0.2584 0.9088 0.9022
I2 0.2665 0.3998 0.5655
O1 0.0202 0.2088 0.6159
O2 0.0887 0.6819 0.7723
O3 0.1342 0.8030 0.0670
O4 0.3581 0.1939 0.4184
O5 0.4558 0.2429 0.0821
O6 0.4983 0.2765 0.7083
```